CuB2Pb2O6: calculated PXRD pattern (Cu Kα), based on DFT lattice parameters and positions (GGA-PBE).
Kinematic intensities with the Lorentz-polarization factor, no thermal factor.

Structure:
abc: 5.763 8.844 6.277
angles: 90.00 115.50 90.00
Atoms (fractional coordinates):
Cu: 0.000 0.000 0.000
Cu: 0.000 0.500 0.500
B: 0.237 0.248 0.343
B: 0.237 0.252 0.843
B: 0.763 0.748 0.157
B: 0.763 0.752 0.657
Pb: 0.307 0.608 0.163
Pb: 0.307 0.892 0.663
Pb: 0.693 0.108 0.337
Pb: 0.693 0.392 0.837
O: 0.013 0.182 0.820
O: 0.013 0.318 0.320
O: 0.239 0.094 0.294
O: 0.239 0.406 0.794
O: 0.471 0.177 0.914
O: 0.471 0.323 0.414
O: 0.529 0.677 0.586
O: 0.529 0.823 0.086
O: 0.761 0.594 0.206
O: 0.761 0.906 0.706
O: 0.987 0.682 0.680
O: 0.987 0.818 0.180

Peak list (6 most intense, 2θ from 10° to 90°, by angle)
2θ (°)	I (rel.)
19.8	59
25.6	100
26.7	81
28.7	52
29.6	76
32.7	78

Sr2CuB2O6: calculated PXRD pattern (Cu Kα), based on DFT lattice parameters and positions (GGA-PBE).
Kinematic intensities with the Lorentz-polarization factor, no thermal factor.

Structure:
abc: 5.874 8.839 6.124
angles: 90.00 117.43 90.00
Atoms (fractional coordinates):
Sr: 0.166 0.106 0.338
Sr: 0.166 0.394 0.838
Sr: 0.834 0.606 0.162
Sr: 0.834 0.894 0.662
Cu: 0.500 0.000 0.000
Cu: 0.500 0.500 0.500
B: 0.304 0.749 0.659
B: 0.304 0.751 0.159
B: 0.696 0.249 0.841
B: 0.696 0.251 0.341
O: 0.094 0.662 0.614
O: 0.094 0.838 0.114
O: 0.289 0.592 0.180
O: 0.289 0.908 0.680
O: 0.466 0.191 0.817
O: 0.466 0.309 0.317
O: 0.534 0.691 0.683
O: 0.534 0.809 0.183
O: 0.711 0.092 0.320
O: 0.711 0.408 0.820
O: 0.906 0.162 0.886
O: 0.906 0.338 0.386

Peak list (6 most intense, 2θ from 10° to 90°, by angle)
2θ (°)	I (rel.)
26.0	46
26.6	52
29.2	24
30.4	55
32.1	100
34.5	39

SrCu2B2O6: calculated PXRD pattern (Cu Kα), based on DFT lattice parameters and positions (GGA-PBE).
Kinematic intensities with the Lorentz-polarization factor, no thermal factor.

Structure:
abc: 7.291 7.291 7.291
angles: 102.77 102.77 123.91
Atoms (fractional coordinates):
Sr: 0.250 0.250 0.000
Sr: 0.750 0.750 0.000
Cu: 0.117 0.617 0.734
Cu: 0.383 0.117 0.500
Cu: 0.617 0.883 0.500
Cu: 0.883 0.383 0.266
B: 0.202 0.298 0.500
B: 0.298 0.798 0.097
B: 0.702 0.202 0.903
B: 0.798 0.702 0.500
O: 0.095 0.405 0.500
O: 0.149 0.831 0.980
O: 0.169 0.149 0.318
O: 0.331 0.649 0.980
O: 0.351 0.331 0.682
O: 0.405 0.905 0.310
O: 0.595 0.095 0.690
O: 0.649 0.669 0.318
O: 0.669 0.351 0.020
O: 0.831 0.851 0.682
O: 0.851 0.169 0.020
O: 0.905 0.595 0.500

Peak list (6 most intense, 2θ from 10° to 90°, by angle)
2θ (°)	I (rel.)
25.5	49
26.0	37
29.5	100
31.1	46
48.0	68
51.2	30

SrCu2B2O6: calculated PXRD pattern (Cu Kα), based on DFT lattice parameters and positions (GGA-PBE).
Kinematic intensities with the Lorentz-polarization factor, no thermal factor.

Structure:
abc: 7.287 7.287 7.287
angles: 102.72 102.72 124.03
Atoms (fractional coordinates):
Sr: 0.000 0.000 0.000
Sr: 0.500 0.500 0.000
Cu: 0.138 0.638 0.268
Cu: 0.370 0.870 0.732
Cu: 0.638 0.370 0.500
Cu: 0.870 0.138 0.500
B: 0.051 0.955 0.500
B: 0.455 0.551 0.500
B: 0.551 0.051 0.096
B: 0.955 0.455 0.904
O: 0.080 0.101 0.682
O: 0.101 0.419 0.022
O: 0.165 0.858 0.500
O: 0.358 0.665 0.500
O: 0.398 0.080 0.978
O: 0.419 0.398 0.318
O: 0.580 0.898 0.978
O: 0.601 0.580 0.682
O: 0.665 0.165 0.307
O: 0.858 0.358 0.693
O: 0.898 0.919 0.318
O: 0.919 0.601 0.022

Peak list (6 most intense, 2θ from 10° to 90°, by angle)
2θ (°)	I (rel.)
25.5	47
26.1	37
29.6	100
31.1	45
48.0	67
51.2	31

SrCu2B2O6: calculated PXRD pattern (Cu Kα), based on DFT lattice parameters and positions (GGA-PBE).
Kinematic intensities with the Lorentz-polarization factor, no thermal factor.

Structure:
abc: 7.280 7.280 7.280
angles: 102.75 102.75 123.95
Atoms (fractional coordinates):
Sr: 0.000 0.500 0.500
Sr: 0.500 0.000 0.500
Cu: 0.158 0.158 0.771
Cu: 0.387 0.387 0.229
Cu: 0.613 0.842 0.000
Cu: 0.842 0.613 0.000
B: 0.052 0.460 0.000
B: 0.460 0.052 0.000
B: 0.540 0.540 0.592
B: 0.948 0.948 0.408
O: 0.073 0.598 0.182
O: 0.109 0.927 0.525
O: 0.183 0.380 0.000
O: 0.380 0.183 0.000
O: 0.402 0.584 0.475
O: 0.416 0.891 0.818
O: 0.584 0.402 0.475
O: 0.598 0.073 0.182
O: 0.620 0.620 0.803
O: 0.817 0.817 0.197
O: 0.891 0.416 0.818
O: 0.927 0.109 0.525

Peak list (6 most intense, 2θ from 10° to 90°, by angle)
2θ (°)	I (rel.)
25.5	48
26.1	35
29.6	100
31.1	46
48.1	66
51.3	33

Copy entry 1 word for word.
CuB2Pb2O6: calculated PXRD pattern (Cu Kα), based on DFT lattice parameters and positions (GGA-PBE).
Kinematic intensities with the Lorentz-polarization factor, no thermal factor.

Structure:
abc: 5.763 8.844 6.277
angles: 90.00 115.50 90.00
Atoms (fractional coordinates):
Cu: 0.000 0.000 0.000
Cu: 0.000 0.500 0.500
B: 0.237 0.248 0.343
B: 0.237 0.252 0.843
B: 0.763 0.748 0.157
B: 0.763 0.752 0.657
Pb: 0.307 0.608 0.163
Pb: 0.307 0.892 0.663
Pb: 0.693 0.108 0.337
Pb: 0.693 0.392 0.837
O: 0.013 0.182 0.820
O: 0.013 0.318 0.320
O: 0.239 0.094 0.294
O: 0.239 0.406 0.794
O: 0.471 0.177 0.914
O: 0.471 0.323 0.414
O: 0.529 0.677 0.586
O: 0.529 0.823 0.086
O: 0.761 0.594 0.206
O: 0.761 0.906 0.706
O: 0.987 0.682 0.680
O: 0.987 0.818 0.180

Peak list (6 most intense, 2θ from 10° to 90°, by angle)
2θ (°)	I (rel.)
19.8	59
25.6	100
26.7	81
28.7	52
29.6	76
32.7	78